1.
Structure and calculated X-ray powder pattern of Cs2LiMoI6 (the GGA-PBE geometry in the Materials Project; Cu Kα X-rays).
Kinematic intensities with the Lorentz-polarization factor, no thermal factor.

Most intense lines, 2θ from 10° to 90°, low angle first:
13.02°, I 12
26.22°, I 100
30.37°, I 77
39.78°, I 5
43.48°, I 56
51.49°, I 44
53.96°, I 19
63.18°, I 9
69.62°, I 17
71.70°, I 24
79.82°, I 18
85.76°, I 13

Structure:
```
10
Lattice="0.0000 5.8869 5.8869 5.8869 0.0000 5.8869 5.8869 5.8869 0.0000" Properties=species:S:1:pos:R:3 pbc="T T T"
Cs 2.9434 2.9434 2.9434
Cs 8.8303 8.8303 8.8303
Li 0.0000 0.0000 0.0000
Mo 5.8869 5.8869 5.8869
I 5.8869 5.8869 3.0536
I 5.8869 3.0536 5.8869
I 8.7201 5.8869 5.8869
I 3.0536 5.8869 5.8869
I 5.8869 8.7201 5.8869
I 5.8869 5.8869 8.7201
```



2.
Structure and calculated X-ray powder pattern of Cs2LiSbI6 (the GGA-PBE geometry in the Materials Project; Cu Kα X-rays).
Kinematic intensities with the Lorentz-polarization factor, no thermal factor.

Most intense lines, 2θ from 10° to 90°, low angle first:
12.66°, I 8
24.38°, I 6
25.48°, I 100
29.51°, I 85
42.22°, I 63
49.97°, I 46
52.35°, I 22
61.24°, I 10
67.43°, I 19
69.43°, I 29
77.20°, I 21
82.86°, I 15

Structure:
```
10
Lattice="0.0000 6.0539 6.0539 6.0539 0.0000 6.0539 6.0539 6.0539 0.0000" Properties=species:S:1:pos:R:3 pbc="T T T"
Cs 3.0269 3.0269 3.0269
Cs 9.0808 9.0808 9.0808
Li 0.0000 0.0000 0.0000
Sb 6.0539 6.0539 6.0539
I 6.0539 6.0539 3.0179
I 6.0539 3.0179 6.0539
I 9.0899 6.0539 6.0539
I 3.0179 6.0539 6.0539
I 6.0539 9.0899 6.0539
I 6.0539 6.0539 9.0899
```



3.
Structure and calculated X-ray powder pattern of CsZr6MnI14 (the GGA-PBE geometry in the Materials Project; Cu Kα X-rays).
Kinematic intensities with the Lorentz-polarization factor, no thermal factor.

Most intense lines, 2θ from 10° to 90°, low angle first:
10.35°, I 43
25.57°, I 33
26.58°, I 36
27.21°, I 81
28.08°, I 100
31.10°, I 28
31.87°, I 77
42.25°, I 46
44.02°, I 25
47.86°, I 29
50.62°, I 26
52.53°, I 25

Structure:
```
44
Lattice="8.2279 -7.5116 0.0000 8.2279 7.5116 0.0000 0.0000 0.0000 13.4163" Properties=species:S:1:pos:R:3 pbc="T T T"
Cs 0.0000 0.0000 0.0000
Cs 8.2279 0.0000 6.7081
Zr 1.7917 0.9859 8.1913
Zr 8.2279 5.4703 8.0608
Zr 1.7917 -0.9859 5.2249
Zr 6.4362 0.9859 11.9331
Zr 8.2279 2.0414 1.3527
Zr 6.4362 -0.9859 1.4832
Zr 10.0196 0.9859 11.9331
Zr 8.2279 -2.0414 12.0636
Zr 10.0196 -0.9859 1.4832
Zr 14.6641 0.9859 8.1913
Zr 8.2279 -5.4703 5.3554
Zr 14.6641 -0.9859 5.2249
Mn 0.0000 0.0000 6.7081
Mn 8.2279 0.0000 0.0000
I 2.0279 1.3077 3.3866
I 4.1139 2.2016 10.0622
I 6.1910 3.9363 6.6297
I 6.1910 3.5753 13.3378
I 8.2279 5.1582 3.2664
I 2.0279 -1.3077 10.0297
I 4.0953 0.0000 6.7081
I 4.1326 0.0000 0.0000
I 6.1999 1.3077 3.3215
I 8.2279 2.3534 9.9745
I 10.2647 3.9363 6.6297
I 10.2647 3.5753 13.3378
I 4.1139 -2.2016 3.3541
I 6.1999 -1.3077 10.0947
I 10.2558 1.3077 3.3215
I 12.3418 2.2016 10.0622
I 6.1910 -3.5753 0.0784
I 6.1910 -3.9363 6.7866
I 8.2279 -2.3534 3.4418
I 10.2558 -1.3077 10.0947
I 12.3231 0.0000 0.0000
I 12.3605 0.0000 6.7081
I 14.4278 1.3077 3.3866
I 8.2279 -5.1582 10.1499
I 10.2647 -3.5753 0.0784
I 10.2647 -3.9363 6.7866
I 12.3418 -2.2016 3.3541
I 14.4278 -1.3077 10.0297
```



4.
Structure and calculated X-ray powder pattern of Cs2NaMoI6 (the GGA-PBE geometry in the Materials Project; Cu Kα X-rays).
Kinematic intensities with the Lorentz-polarization factor, no thermal factor.

Most intense lines, 2θ from 10° to 90°, low angle first:
12.74°, I 14
25.64°, I 100
29.69°, I 84
38.88°, I 8
42.48°, I 60
50.28°, I 43
52.68°, I 20
61.64°, I 9
67.88°, I 16
69.90°, I 24
77.73°, I 18
83.45°, I 11

Structure:
```
10
Lattice="0.0000 6.0185 6.0185 6.0185 0.0000 6.0185 6.0185 6.0185 0.0000" Properties=species:S:1:pos:R:3 pbc="T T T"
Cs 3.0093 3.0093 3.0093
Cs 9.0278 9.0278 9.0278
Na 0.0000 0.0000 0.0000
Mo 6.0185 6.0185 6.0185
I 6.0185 6.0185 3.1926
I 6.0185 3.1926 6.0185
I 8.8445 6.0185 6.0185
I 3.1926 6.0185 6.0185
I 6.0185 8.8445 6.0185
I 6.0185 6.0185 8.8445
```



5.
Structure and calculated X-ray powder pattern of Cs2NaScI6 (the GGA-PBE geometry in the Materials Project; Cu Kα X-rays).
Kinematic intensities with the Lorentz-polarization factor, no thermal factor.

Most intense lines, 2θ from 10° to 90°, low angle first:
12.60°, I 4
25.36°, I 100
29.36°, I 68
38.44°, I 3
42.01°, I 49
49.71°, I 45
52.08°, I 17
60.91°, I 8
67.06°, I 18
69.04°, I 21
76.75°, I 15
82.37°, I 13

Structure:
```
10
Lattice="0.0000 6.0836 6.0836 6.0836 0.0000 6.0836 6.0836 6.0836 0.0000" Properties=species:S:1:pos:R:3 pbc="T T T"
Cs 3.0418 3.0418 3.0418
Cs 9.1253 9.1253 9.1253
Na 0.0000 0.0000 0.0000
Sc 6.0836 6.0836 6.0836
I 6.0836 6.0836 3.1827
I 6.0836 3.1827 6.0836
I 8.9844 6.0836 6.0836
I 3.1827 6.0836 6.0836
I 6.0836 8.9844 6.0836
I 6.0836 6.0836 8.9844
```



6.
Structure and calculated X-ray powder pattern of Cs2NaTaI6 (the GGA-PBE geometry in the Materials Project; Cu Kα X-rays).
Kinematic intensities with the Lorentz-polarization factor, no thermal factor.

Most intense lines, 2θ from 10° to 90°, low angle first:
12.72°, I 32
14.70°, I 15
20.84°, I 16
25.60°, I 86
29.64°, I 100
38.82°, I 12
42.42°, I 73
50.20°, I 37
52.60°, I 25
67.77°, I 14
69.78°, I 31
77.60°, I 22

Structure:
```
10
Lattice="0.0000 6.0270 6.0270 6.0270 0.0000 6.0270 6.0270 6.0270 0.0000" Properties=species:S:1:pos:R:3 pbc="T T T"
Cs 3.0135 3.0135 3.0135
Cs 9.0405 9.0405 9.0405
Na 0.0000 0.0000 0.0000
Ta 6.0270 6.0270 6.0270
I 6.0270 6.0270 3.1786
I 6.0270 3.1786 6.0270
I 8.8753 6.0270 6.0270
I 3.1786 6.0270 6.0270
I 6.0270 8.8753 6.0270
I 6.0270 6.0270 8.8753
```



7.
Structure and calculated X-ray powder pattern of Cs2NaYI6 (the GGA-PBE geometry in the Materials Project; Cu Kα X-rays).
Kinematic intensities with the Lorentz-polarization factor, no thermal factor.

Most intense lines, 2θ from 10° to 90°, low angle first:
12.37°, I 6
24.88°, I 100
28.81°, I 82
41.19°, I 61
48.72°, I 47
51.04°, I 21
59.67°, I 10
65.66°, I 19
67.59°, I 27
75.08°, I 20
80.52°, I 14
89.43°, I 7

Structure:
```
10
Lattice="0.0000 6.1983 6.1983 6.1983 0.0000 6.1983 6.1983 6.1983 0.0000" Properties=species:S:1:pos:R:3 pbc="T T T"
Cs 3.0992 3.0992 3.0992
Cs 9.2975 9.2975 9.2975
Na 0.0000 0.0000 0.0000
Y 6.1983 6.1983 6.1983
I 6.1983 6.1983 3.1709
I 6.1983 3.1709 6.1983
I 9.2257 6.1983 6.1983
I 3.1709 6.1983 6.1983
I 6.1983 9.2257 6.1983
I 6.1983 6.1983 9.2257
```



8.
Structure and calculated X-ray powder pattern of CsNb6I11 (the GGA-PBE geometry in the Materials Project; Cu Kα X-rays).
Kinematic intensities with the Lorentz-polarization factor, no thermal factor.

Most intense lines, 2θ from 10° to 90°, low angle first:
11.62°, I 100
23.37°, I 31
25.21°, I 26
27.11°, I 91
27.39°, I 89
28.29°, I 31
38.16°, I 24
38.92°, I 70
40.95°, I 27
43.02°, I 54
44.79°, I 22
50.62°, I 16

Structure:
```
36
Lattice="11.2785 0.0000 0.0000 -5.6393 9.7675 0.0000 0.0000 0.0000 12.1499" Properties=species:S:1:pos:R:3 pbc="T T T"
Cs 0.0000 0.0000 3.0375
Cs 0.0000 0.0000 9.1124
Nb -0.7210 5.0579 4.2182
Nb -1.6195 6.6142 1.8568
Nb 0.7210 5.0579 1.8568
Nb -0.8985 7.8629 4.2182
Nb 1.6195 6.6142 4.2182
Nb 0.8985 7.8629 1.8568
Nb 4.7407 1.9046 7.9317
Nb 4.0198 3.1533 10.2931
Nb 6.5378 1.9046 10.2931
Nb 4.9183 4.7096 7.9317
Nb 7.2587 3.1533 7.9317
Nb 6.3602 4.7096 10.2931
I -1.6021 2.7750 6.0749
I -4.0371 6.9925 0.0000
I -1.8315 3.6846 1.9270
I -3.3641 6.3390 4.1479
I 3.2042 0.0000 6.0749
I 1.6021 2.7750 0.0000
I 0.0000 6.5117 6.5863
I 0.0000 6.5117 11.6385
I 1.8315 3.6846 4.1479
I -1.5326 9.5114 1.9270
I 4.1067 0.2561 10.2228
I 2.2751 3.4284 8.0020
I 3.3641 6.3390 1.9270
I 1.5326 9.5114 4.1479
I 7.1718 0.2561 8.0020
I 3.8077 6.0829 10.2228
I 5.6393 3.2558 0.5114
I 5.6393 3.2558 5.5636
I 8.0743 0.0000 0.0000
I 4.0371 6.9925 6.0749
I 9.0034 3.4284 10.2228
I 7.4708 6.0829 8.0020
```